Simulated powder diffraction line list
Compound: Na2CrBO4
Radiation: a wavelength of 1.5418 Å
Structure: a cell relaxed with GGA+U

Principal peaks in the range 5° ≤ 2θ ≤ 70°, in order of rising 2θ:
- 19.0 deg, I = 100, hkl 0 0 4
- 19.6 deg, I = 66, hkl 0 2 2
- 21.1 deg, I = 17, hkl 1 1 1
- 31.6 deg, I = 16, hkl 1 1 5
- 32.4 deg, I = 35, hkl 1 3 1
- 33.5 deg, I = 43, hkl 0 2 6
- 40.3 deg, I = 62, hkl 1 3 5
- 41.8 deg, I = 19, hkl 2 2 0
- 48.1 deg, I = 15, hkl 2 0 6
- 60.6 deg, I = 13, hkl 2 4 6

Structure:
```
data_Na2CrBO4
_chemical_formula_sum 'Na16 Cr8 B8 O32'
_space_group_name_H-M_alt 'F d d d'
_space_group_IT_number 70
_cell_length_a 4.763
_cell_length_b 10.340
_cell_length_c 18.732
_cell_angle_alpha 90.00
_cell_angle_beta 90.00
_cell_angle_gamma 90.00
loop_
_space_group_symop_operation_xyz
'x,y,z'
'-x,-y,-z'
'-x+1/4,-y+1/4,z'
'x+1/4,y+1/4,-z'
'x,-y+1/4,-z+1/4'
'-x,y+1/4,z+1/4'
'-x+1/4,y,-z+1/4'
'x+1/4,-y,z+1/4'
'x,y+1/2,z+1/2'
'-x,-y+1/2,-z+1/2'
'-x+1/4,-y+3/4,z+1/2'
'x+1/4,y+3/4,-z+1/2'
'x,-y+3/4,-z+3/4'
'-x,y+3/4,z+3/4'
'-x+1/4,y+1/2,-z+3/4'
'x+1/4,-y+1/2,z+3/4'
'x+1/2,y,z+1/2'
'-x+1/2,-y,-z+1/2'
'-x+3/4,-y+1/4,z+1/2'
'x+3/4,y+1/4,-z+1/2'
'x+1/2,-y+1/4,-z+3/4'
'-x+1/2,y+1/4,z+3/4'
'-x+3/4,y,-z+3/4'
'x+3/4,-y,z+3/4'
'x+1/2,y+1/2,z'
'-x+1/2,-y+1/2,-z'
'-x+3/4,-y+3/4,z'
'x+3/4,y+3/4,-z'
'x+1/2,-y+3/4,-z+1/4'
'-x+1/2,y+3/4,z+1/4'
'-x+3/4,y+1/2,-z+1/4'
'x+3/4,-y+1/2,z+1/4'
loop_
_atom_site_label
_atom_site_type_symbol
_atom_site_fract_x
_atom_site_fract_y
_atom_site_fract_z
Na1 Na 0.125 0.125 0.312
Cr1 Cr 0.125 0.125 0.125
B1 B 0.125 0.125 0.625
O1 O 0.068 0.290 0.833
```